Simulated X-ray powder pattern
Compound: TlBi3O7
Radiation: λ = 1.5418 Å (Cu Kα)
Structure: a DFT-relaxed cell (GGA-PBE, Alexandria)
No peak broadening, texture or thermal motion is included.

```
TlBi3O7
1.0
3.9828 -5.4720 0.0000
3.9828 5.4720 0.0000
0.0000 0.0000 7.7774
Tl Bi O
2 6 14
Direct
0.0088 0.0088 0.0000 Tl
0.9912 0.9912 0.5000 Tl
0.0071 0.5318 0.7385 Bi
0.4666 0.4666 0.5000 Bi
0.4682 0.9929 0.7615 Bi
0.5318 0.0071 0.2615 Bi
0.5334 0.5334 0.0000 Bi
0.9929 0.4682 0.2385 Bi
0.0715 0.3530 0.9656 O
0.1045 0.8955 0.7500 O
0.1072 0.3434 0.5442 O
0.3434 0.1072 0.4558 O
0.3503 0.6497 0.2500 O
0.3530 0.0715 0.0344 O
0.3559 0.6441 0.7500 O
0.6441 0.3559 0.2500 O
0.6470 0.9285 0.5344 O
0.6497 0.3503 0.7500 O
0.6566 0.8928 0.9558 O
0.8928 0.6566 0.0442 O
0.8955 0.1045 0.2500 O
0.9285 0.6470 0.4656 O
```

The 10 most intense peaks (5 to 70 degrees two-theta), in order of rising 2θ:
| 2θ (°) | I/Imax |
| --- | --- |
| 27.70 | 96 |
| 28.15 | 100 |
| 32.17 | 50 |
| 32.73 | 25 |
| 46.55 | 57 |
| 46.72 | 15 |
| 54.41 | 24 |
| 55.18 | 28 |
| 55.40 | 13 |
| 55.65 | 16 |

=====

Simulated X-ray powder pattern
Compound: Cu8GePd6
Radiation: λ = 1.5418 Å (Cu Kα)
Structure: a DFT-relaxed cell (GGA-PBE, Alexandria)
No peak broadening, texture or thermal motion is included.

```
Cu8GePd6
1.0
3.4799 2.0091 5.2760
-3.4799 2.0091 5.2760
0.0000 -4.0183 5.2760
Cu Ge Pd
8 1 6
Direct
0.0410 0.6867 0.3766 Cu
0.2494 0.2494 0.2494 Cu
0.3133 0.6234 0.9590 Cu
0.3766 0.0410 0.6867 Cu
0.6234 0.9590 0.3133 Cu
0.6867 0.3766 0.0410 Cu
0.7506 0.7506 0.7506 Cu
0.9590 0.3133 0.6234 Cu
0.5000 0.5000 0.5000 Ge
0.1434 0.3910 0.8368 Pd
0.1632 0.8566 0.6090 Pd
0.3910 0.8368 0.1434 Pd
0.6090 0.1632 0.8566 Pd
0.8368 0.1434 0.3910 Pd
0.8566 0.6090 0.1632 Pd
```

The 10 most intense peaks (5 to 70 degrees two-theta), in order of rising 2θ:
| 2θ (°) | I/Imax |
| --- | --- |
| 16.80 | 10 |
| 25.60 | 21 |
| 37.51 | 21 |
| 39.98 | 18 |
| 41.24 | 21 |
| 43.03 | 100 |
| 45.13 | 65 |
| 45.97 | 14 |
| 64.11 | 15 |
| 68.97 | 10 |

=====

Simulated X-ray powder pattern
Compound: Sr2TmCd16
Radiation: λ = 1.5418 Å (Cu Kα)
Structure: a DFT-relaxed cell (GGA-PBE, Alexandria)
No peak broadening, texture or thermal motion is included.

```
Sr2TmCd16
1.0
5.1435 2.9696 5.1312
-5.1435 2.9696 5.1312
0.0000 -5.9392 5.1312
Sr Tm Cd
2 1 16
Direct
0.0000 0.0000 0.0000 Sr
0.3185 0.3185 0.3185 Sr
0.7441 0.7441 0.7441 Tm
0.0182 0.0182 0.5228 Cd
0.0182 0.5228 0.0182 Cd
0.1638 0.6656 0.6656 Cd
0.3043 0.3043 0.8362 Cd
0.3043 0.8362 0.3043 Cd
0.3664 0.6641 0.9650 Cd
0.3664 0.9650 0.6641 Cd
0.5228 0.0182 0.0182 Cd
0.5393 0.5393 0.5393 Cd
0.6641 0.3664 0.9650 Cd
0.6641 0.9650 0.3664 Cd
0.6656 0.1638 0.6656 Cd
0.6656 0.6656 0.1638 Cd
0.8362 0.3043 0.3043 Cd
0.9650 0.3664 0.6641 Cd
0.9650 0.6641 0.3664 Cd
```

The 10 most intense peaks (5 to 70 degrees two-theta), in order of rising 2θ:
| 2θ (°) | I/Imax |
| --- | --- |
| 11.48 | 10 |
| 17.25 | 8 |
| 30.09 | 17 |
| 30.70 | 17 |
| 34.91 | 100 |
| 35.44 | 22 |
| 39.20 | 57 |
| 56.60 | 8 |
| 62.56 | 13 |
| 62.68 | 9 |